(1)
Starting from a DFT-relaxed cell (GGA-PBE, Alexandria), the powder diffraction line list of HgCl was simulated for a wavelength of 1.5418 Å.
Intensities are scaled so that the largest is 100.

Principal peaks in the range 15 to 90 degrees two-theta, sorted by position:
24.03°, 3.704 Å, I 49
24.67°, 3.609 Å, I 100
24.83°, 3.585 Å, I 45
33.98°, 2.638 Å, I 22
34.49°, 2.601 Å, I 21
36.31°, 2.474 Å, I 18
42.55°, 2.125 Å, I 24
42.86°, 2.110 Å, I 46
44.01°, 2.058 Å, I 22
49.20°, 1.852 Å, I 15

```
2
Lattice="-2.474 2.601 2.638 2.474 -2.601 2.638 2.474 2.601 -2.638" Properties=species:S:1:pos:R:3 pbc="T T T"
Hg 0.000 0.000 0.000
Cl 0.000 2.601 0.000
```


(2)
Starting from a DFT-relaxed cell (GGA-PBE, Alexandria), the powder diffraction line list of Li6Si was simulated for a wavelength of 1.5418 Å.
Intensities are scaled so that the largest is 100.

Principal peaks in the range 15 to 90 degrees two-theta, sorted by position:
18.73°, 4.736 Å, I 51
26.62°, 3.349 Å, I 45
32.75°, 2.735 Å, I 100
42.69°, 2.118 Å, I 10
51.02°, 1.790 Å, I 54
54.82°, 1.675 Å, I 13
61.96°, 1.498 Å, I 15
65.34°, 1.428 Å, I 13
78.16°, 1.223 Å, I 15
81.24°, 1.184 Å, I 8

```
7
Lattice="-3.349 3.349 3.349 3.349 -3.349 3.349 3.349 3.349 -3.349" Properties=species:S:1:pos:R:3 pbc="T T T"
Li 3.349 1.675 0.000
Li 3.349 0.000 1.675
Li 1.675 3.349 0.000
Li 1.675 0.000 3.349
Li 0.000 3.349 1.675
Li 0.000 1.675 3.349
Si 0.000 0.000 0.000
```